This entry pairs a crystal structure of Sm5Pb3I with its theoretical X-ray powder pattern. Radiation: Cu Kα (weighted mean of Kα1 and Kα2). Structure: a GGA-PBE-relaxed structure.
Kinematic intensities with the Lorentz-polarization factor, no thermal factor.

Largest 8 diffraction maxima, in order of rising 2θ, 10° ≤ 2θ ≤ 80°:
d (Å)	I/Imax	h k l
2.848	59	2 1 1
2.809	100	1 1 2
2.753	76	3 0 0
2.176	24	3 1 1
1.966	24	2 2 2
1.861	17	2 1 3
1.600	17	4 1 2
1.470	23	3 0 4

Atomic structure:
a b c (Å): 9.5372 9.5372 6.9524
angles (deg): 90.00 90.00 120.00
Space group P6_3/mcm (No. 193)
One atom of each set of equivalent atoms:
Sm  0.0000  0.2747  0.2500 [6 per cell]
Sm  0.3333  0.6667  0.0000 [4 per cell]
Pb  0.0000  0.3866  0.7500 [6 per cell]
I  0.0000  0.0000  0.0000 [2 per cell]